The following is a simulated X-ray powder pattern of SrV. It was derived from DFT lattice parameters and positions (PBE), using a wavelength of 1.5418 Å.

Most intense lines, 10 to 80 degrees two-theta, by angle:
2θ/deg  d (Å)  I (rel.)
23.02  3.864  266
26.50  3.363  302
26.91  3.313  1000
27.22  3.276  379
30.35  2.945  747
31.72  2.821  460
34.80  2.578  554
35.38  2.537  287
48.43  1.879  378
53.99  1.698  287

Crystal structure
```
data_SrV
_chemical_formula_sum 'Sr3 V3'
_cell_length_a 7.9389
_cell_length_b 7.9389
_cell_length_c 7.9389
_cell_angle_alpha 153.58
_cell_angle_beta 64.18
_cell_angle_gamma 122.69
_symmetry_space_group_name_H-M 'P 1'
_symmetry_Int_Tables_number 1
_symmetry_space_group_name_Hall 'P 1'
loop_
_atom_site_label
_atom_site_type_symbol
_atom_site_fract_x
_atom_site_fract_y
_atom_site_fract_z
Sr1 Sr 0.0000 0.0000 0.0000
Sr2 Sr 0.4746 0.1914 0.2832
Sr3 Sr 0.9082 0.1914 0.7168
V1 V 0.2656 0.8456 0.4200
V2 V 0.4256 0.8456 0.5800
V3 V 0.5157 0.5157 0.0000
```